[1]
The following is a calculated PXRD pattern of K3Pm3NpO8. It was derived from the PBE geometry in Alexandria, using Cu Kα (weighted mean of Kα1 and Kα2).
Intensities are scaled so that the largest is 100.

a = 7.1702 Å, b = 7.1702 Å, c = 19.0524 Å
α = 90.00°, β = 90.00°, γ = 120.00°
Space group R-3m (No. 166, hexagonal axes)
Asymmetric unit:
K 0.0000 0.5000 0.0000 [9 per cell]
Pm 0.0000 0.5000 0.5000 [9 per cell]
Np 0.0000 0.0000 0.5000 [3 per cell]
O 0.0000 0.0000 0.2286 [6 per cell]
O 0.0187 0.5093 0.2256 [18 per cell]

Principal peaks in the range 2θ from 10° to 80°, low angle first:
2θ 13.9, I = 100, hkl 0 0 3
2θ 28.1, I = 27, hkl 0 0 6
2θ 29.1, I = 40, hkl 0 2 1
2θ 30.3, I = 58, hkl 2 0 2
2θ 34.5, I = 76, hkl 0 2 4
2θ 37.4, I = 16, hkl 2 0 5
2θ 44.3, I = 20, hkl 0 2 7
2θ 48.2, I = 25, hkl 2 0 8
2θ 50.9, I = 25, hkl 2 2 0
2θ 53.1, I = 20, hkl 2 2 3
2θ 56.7, I = 14, hkl 0 2 10
2θ 59.2, I = 20, hkl 2 2 6

[2]
The following is a calculated PXRD pattern of ScZn2Co. It was derived from the PBE geometry in Alexandria, using Cu Kα (weighted mean of Kα1 and Kα2).
Intensities are scaled so that the largest is 100.

a = 13.950 Å, b = 7.309 Å, c = 4.854 Å
α = 90.00°, β = 90.00°, γ = 90.00°
Space group Pnma (No. 62)
Asymmetric unit:
Sc 0.104 0.250 0.231 [4 per cell]
Sc 0.140 0.750 0.451 [4 per cell]
Zn 0.038 0.053 0.743 [8 per cell]
Zn 0.213 0.549 0.940 [8 per cell]
Co 0.070 0.750 0.968 [4 per cell]
Co 0.186 0.250 0.719 [4 per cell]

Principal peaks in the range 2θ from 10° to 80°, low angle first:
2θ 22.3, I = 46, hkl 2 0 1
2θ 35.6, I = 100, hkl 4 2 0
2θ 36.3, I = 66, hkl 3 2 1
2θ 40.3, I = 40, hkl 4 2 1
2θ 41.3, I = 98, hkl 2 1 2
2θ 43.1, I = 88, hkl 6 0 1
2θ 43.5, I = 94, hkl 2 3 1
2θ 45.0, I = 56, hkl 5 2 1
2θ 45.4, I = 82, hkl 4 3 0
2θ 46.8, I = 95, hkl 2 2 2
2θ 49.4, I = 39, hkl 7 0 1
2θ 68.9, I = 43, hkl 4 2 3

[3]
The following is a calculated PXRD pattern of PuMnGe2Ru. It was derived from the PBE geometry in Alexandria, using Cu Kα (weighted mean of Kα1 and Kα2).
Intensities are scaled so that the largest is 100.

a = 4.040 Å, b = 4.040 Å, c = 10.810 Å
α = 90.00°, β = 90.00°, γ = 90.00°
Space group I-4m2 (No. 119)
Asymmetric unit:
Pu 0.000 0.000 0.000 [2 per cell]
Mn 0.000 0.500 0.250 [2 per cell]
Ge 0.000 0.000 0.381 [4 per cell]
Ru 0.000 0.500 0.750 [2 per cell]

Principal peaks in the range 2θ from 10° to 80°, low angle first:
2θ 23.5, I = 29, hkl 1 0 1
2θ 31.3, I = 21, hkl 1 1 0
2θ 33.3, I = 80, hkl 1 0 3
2θ 35.5, I = 100, hkl 1 1 2
2θ 44.9, I = 47, hkl 2 0 0
2θ 47.7, I = 35, hkl 1 0 5
2θ 57.0, I = 35, hkl 2 1 3
2θ 60.8, I = 17, hkl 1 1 6
2θ 65.3, I = 15, hkl 2 2 0
2θ 67.6, I = 25, hkl 2 1 5
2θ 75.3, I = 12, hkl 3 0 3
2θ 76.6, I = 21, hkl 3 1 2

[4]
The following is a calculated PXRD pattern of BaSi4As7. It was derived from the PBE geometry in Alexandria, using Cu Kα (weighted mean of Kα1 and Kα2).
Intensities are scaled so that the largest is 100.

a = 14.181 Å, b = 6.453 Å, c = 6.288 Å
α = 90.00°, β = 90.00°, γ = 90.00°
Space group Pmn2_1 (No. 31)
Asymmetric unit:
Ba 0.000 0.151 0.000 [2 per cell]
Si 0.122 0.678 0.632 [4 per cell]
Si 0.243 0.177 0.616 [4 per cell]
As 0.000 0.883 0.485 [2 per cell]
As 0.099 0.338 0.479 [4 per cell]
As 0.118 0.648 0.009 [4 per cell]
As 0.235 0.177 0.003 [4 per cell]

Principal peaks in the range 2θ from 10° to 80°, low angle first:
2θ 27.6, I = 18, hkl 0 2 0
2θ 28.4, I = 82, hkl 0 0 2
2θ 28.7, I = 55, hkl 4 1 0
2θ 31.2, I = 88, hkl 0 2 1
2θ 32.1, I = 100, hkl 4 1 1
2θ 33.7, I = 14, hkl 2 2 1
2θ 40.8, I = 32, hkl 4 1 2
2θ 49.6, I = 35, hkl 4 3 0
2θ 52.0, I = 28, hkl 0 2 3
2θ 52.7, I = 41, hkl 4 1 3
2θ 58.1, I = 30, hkl 4 3 2
2θ 61.5, I = 13, hkl 8 2 1

[5]
The following is a calculated PXRD pattern of Ce3RuBr3. It was derived from the PBE geometry in Alexandria, using Cu Kα (weighted mean of Kα1 and Kα2).
Intensities are scaled so that the largest is 100.

a = 8.924 Å, b = 4.096 Å, c = 11.883 Å
α = 90.00°, β = 93.53°, γ = 90.00°
Space group P2_1/m (No. 11)
Asymmetric unit:
Ce 0.100 0.250 0.387 [2 per cell]
Ce 0.121 0.250 0.849 [2 per cell]
Ce 0.329 0.750 0.624 [2 per cell]
Ru 0.118 0.250 0.623 [2 per cell]
Br 0.131 0.250 0.118 [2 per cell]
Br 0.370 0.750 0.879 [2 per cell]
Br 0.389 0.750 0.368 [2 per cell]

Principal peaks in the range 2θ from 10° to 80°, low angle first:
2θ 12.1, I = 9, hkl 1 0 -1
2θ 12.8, I = 11, hkl 1 0 1
2θ 29.6, I = 100, hkl 2 1 0
2θ 30.1, I = 47, hkl 0 0 4
2θ 40.5, I = 17, hkl 4 0 0
2θ 41.8, I = 34, hkl 2 1 -4
2θ 43.7, I = 32, hkl 2 1 4
2θ 44.2, I = 18, hkl 0 2 0
2θ 52.9, I = 11, hkl 4 0 4
2θ 54.5, I = 18, hkl 0 2 4
2θ 61.5, I = 9, hkl 4 2 0
2θ 72.4, I = 8, hkl 2 3 0

[6]
The following is a calculated PXRD pattern of TbTa2VC4. It was derived from the PBE geometry in Alexandria, using Cu Kα (weighted mean of Kα1 and Kα2).
Intensities are scaled so that the largest is 100.

a = 3.217 Å, b = 11.162 Å, c = 11.187 Å
α = 90.00°, β = 90.00°, γ = 90.00°
Space group Cmcm (No. 63)
Asymmetric unit:
Tb 0.000 0.110 0.250 [4 per cell]
Ta 0.000 0.370 0.040 [8 per cell]
V 0.000 0.160 0.750 [4 per cell]
C 0.000 0.000 0.000 [4 per cell]
C 0.000 0.262 0.614 [8 per cell]
C 0.000 0.439 0.250 [4 per cell]

Principal peaks in the range 2θ from 10° to 80°, low angle first:
2θ 28.8, I = 74, hkl 0 2 3
2θ 32.0, I = 92, hkl 0 4 0
2θ 33.1, I = 100, hkl 1 1 2
2θ 37.8, I = 31, hkl 1 3 1
2θ 40.4, I = 70, hkl 1 3 2
2θ 45.9, I = 23, hkl 0 4 4
2θ 50.3, I = 28, hkl 1 1 5
2θ 52.5, I = 26, hkl 1 5 2
2θ 55.8, I = 32, hkl 1 3 5
2θ 57.3, I = 15, hkl 2 0 0
2θ 60.2, I = 16, hkl 0 2 7
2θ 67.1, I = 28, hkl 2 4 0

[7]
The following is a calculated PXRD pattern of Pm4Dy5Sc3. It was derived from the PBE geometry in Alexandria, using Cu Kα (weighted mean of Kα1 and Kα2).
Intensities are scaled so that the largest is 100.

a = 15.975 Å, b = 5.766 Å, c = 9.202 Å
α = 90.00°, β = 117.45°, γ = 90.00°
Space group C2/m (No. 12)
Asymmetric unit:
Pm 0.085 0.000 0.447 [4 per cell]
Pm 0.218 0.000 0.882 [4 per cell]
Dy 0.000 0.000 0.000 [2 per cell]
Dy 0.071 0.500 0.713 [4 per cell]
Dy 0.172 0.500 0.377 [4 per cell]
Sc 0.000 0.500 0.000 [2 per cell]
Sc 0.217 0.000 0.238 [4 per cell]

Principal peaks in the range 2θ from 10° to 80°, low angle first:
2θ 24.5, I = 26, hkl 4 0 -2
2θ 29.2, I = 32, hkl 2 0 -3
2θ 29.8, I = 47, hkl 1 1 2
2θ 30.1, I = 49, hkl 3 1 1
2θ 31.0, I = 100, hkl 0 2 0
2θ 31.8, I = 37, hkl 4 0 1
2θ 32.2, I = 86, hkl 5 1 -1
2θ 32.9, I = 67, hkl 5 1 -2
2θ 33.3, I = 35, hkl 3 1 -3
2θ 34.3, I = 48, hkl 1 1 -3
2θ 45.0, I = 29, hkl 4 2 1
2θ 56.0, I = 31, hkl 5 3 -1

[8]
The following is a calculated PXRD pattern of TaNb5. It was derived from the PBE geometry in Alexandria, using Cu Kα (weighted mean of Kα1 and Kα2).
Intensities are scaled so that the largest is 100.

a = 4.722 Å, b = 13.988 Å, c = 3.312 Å
α = 90.00°, β = 90.00°, γ = 90.00°
Space group Cmmm (No. 65)
Asymmetric unit:
Ta 0.000 0.000 0.000 [2 per cell]
Nb 0.000 0.168 0.500 [4 per cell]
Nb 0.000 0.335 0.000 [4 per cell]
Nb 0.000 0.500 0.500 [2 per cell]

Principal peaks in the range 2θ from 10° to 80°, low angle first:
2θ 12.7, I = 5, hkl 0 2 0
2θ 19.8, I = 4, hkl 1 1 0
2θ 26.9, I = 3, hkl 1 3 0
2θ 33.7, I = 2, hkl 1 1 1
2θ 38.1, I = 26, hkl 2 0 0
2θ 38.4, I = 100, hkl 1 3 1
2θ 38.6, I = 25, hkl 0 6 0
2θ 55.4, I = 17, hkl 2 6 0
2θ 55.5, I = 8, hkl 0 0 2
2θ 69.1, I = 17, hkl 3 3 1
2θ 69.3, I = 9, hkl 2 0 2
2θ 69.7, I = 25, hkl 0 6 2